# 1
CaCrIrO6: calculated powder X-ray diffraction pattern (copper Kα), based on DFT lattice parameters and positions (PBE+U).
Neutral-atom scattering factors, no anomalous dispersion.

The 6 most intense peaks (2θ = 15–90°), in order of rising 2θ:
2θ 17.7, rel. 79.6, hkl 0 0 2; 2θ 21.7, rel. 79.3, hkl 1 0 1; 2θ 26.7, rel. 100.0, hkl 1 0 2; 2θ 34.6, rel. 50.6, hkl 1 1 0; 2θ 39.2, rel. 53.9, hkl 1 1 2; 2θ 50.8, rel. 62.3, hkl 1 1 4

Structure:
```
data_CaCrIrO6
_space_group_name_H-M_alt 'P -3 1 c'
_space_group_IT_number 163
_space_group_name_Hall '-P 3 2c'
_cell_length_a 5.1804
_cell_length_b 5.1804
_cell_length_c 9.9974
_cell_angle_alpha 90.00
_cell_angle_beta 90.00
_cell_angle_gamma 120.00
loop_
_atom_site_label
_atom_site_fract_x
_atom_site_fract_y
_atom_site_fract_z
Ca1 0.0000 0.0000 0.0000
Cr1 0.3333 0.6667 0.2500
Ir1 0.3333 0.6667 0.7500
O1 0.0070 0.3730 0.6439
```

# 2
KCaCr2O8: calculated powder X-ray diffraction pattern (copper Kα), based on DFT lattice parameters and positions (PBE+U).
Neutral-atom scattering factors, no anomalous dispersion.

The 6 most intense peaks (2θ = 15–90°), in order of rising 2θ:
2θ 21.1, rel. 100.0, hkl 0 1 1; 2θ 29.0, rel. 30.7, hkl 1 0 2; 2θ 30.9, rel. 38.3, hkl 1 1 0; 2θ 42.9, rel. 24.0, hkl 0 2 2; 2θ 49.5, rel. 14.0, hkl 1 2 1; 2θ 57.0, rel. 12.2, hkl 1 1 4

Structure:
```
data_KCaCr2O8
_space_group_name_H-M_alt 'P -3'
_space_group_IT_number 147
_cell_length_a 5.7890
_cell_length_b 5.7890
_cell_length_c 7.7842
_cell_angle_alpha 90.00
_cell_angle_beta 90.00
_cell_angle_gamma 120.00
loop_
_space_group_symop_operation_xyz
'x,y,z'
'-x,-y,-z'
'-y,x-y,z'
'y,-x+y,-z'
'-x+y,-x,z'
'x-y,x,-z'
loop_
_atom_site_label
_atom_site_fract_x
_atom_site_fract_y
_atom_site_fract_z
K1 0.0000 0.0000 0.0000
Ca1 0.0000 0.0000 0.5000
Cr1 0.3333 0.6667 0.7669
O1 0.1742 0.3522 0.6958
O2 0.3333 0.6667 0.9773
```

# 3
CaLaCrSnO6: calculated powder X-ray diffraction pattern (copper Kα), based on DFT lattice parameters and positions (PBE+U).
Neutral-atom scattering factors, no anomalous dispersion.

The 6 most intense peaks (2θ = 15–90°), in order of rising 2θ:
2θ 19.2, rel. 20.6, hkl 0 1 1; 2θ 19.4, rel. 21.4, hkl 1 0 -2; 2θ 31.4, rel. 23.4, hkl 0 2 0; 2θ 31.8, rel. 100.0, hkl 1 1 1; 2θ 32.1, rel. 23.3, hkl 2 0 -2; 2θ 45.5, rel. 41.4, hkl 0 0 4

Structure:
```
data_CaLaCrSnO6
_space_group_name_H-M_alt 'P 1 c 1'
_space_group_IT_number 7
_cell_length_a 5.582
_cell_length_b 5.699
_cell_length_c 9.703
_cell_angle_alpha 90.00
_cell_angle_beta 124.88
_cell_angle_gamma 90.00
loop_
_space_group_symop_operation_xyz
'x,y,z'
'x,-y,z+1/2'
loop_
_atom_site_label
_atom_site_fract_x
_atom_site_fract_y
_atom_site_fract_z
Ca1 0.000 0.200 0.000
La1 0.525 0.293 0.501
Cr1 0.763 0.250 0.250
Sn1 0.265 0.249 0.751
O1 0.007 0.452 0.200
O2 0.100 0.218 0.497
O3 0.420 0.278 0.004
O4 0.522 0.045 0.299
O5 0.615 0.458 0.801
O6 0.918 0.039 0.702
```

# 4
Ca3LaTi2Cr2O12: calculated powder X-ray diffraction pattern (copper Kα), based on DFT lattice parameters and positions (PBE+U).
Neutral-atom scattering factors, no anomalous dispersion.

The 6 most intense peaks (2θ = 15–90°), in order of rising 2θ:
2θ 32.5, rel. 32.9, hkl 0 2 0; 2θ 32.7, rel. 66.1, hkl 1 1 2; 2θ 32.9, rel. 100.0, hkl -1 1 2; 2θ 46.7, rel. 25.2, hkl 2 2 0; 2θ 47.2, rel. 49.5, hkl 0 0 4; 2θ 58.4, rel. 26.2, hkl 3 1 2

Structure:
```
data_Ca3LaTi2Cr2O12
_space_group_name_H-M_alt 'P 1'
_space_group_IT_number 1
_cell_length_a 5.447
_cell_length_b 5.505
_cell_length_c 7.713
_cell_angle_alpha 89.95
_cell_angle_beta 89.90
_cell_angle_gamma 89.44
loop_
_space_group_symop_operation_xyz
'x,y,z'
loop_
_atom_site_label
_atom_site_fract_x
_atom_site_fract_y
_atom_site_fract_z
Ca1 0.000 0.000 0.000
Ca2 0.020 0.923 0.505
Ca3 0.502 0.419 0.506
La1 0.517 0.494 0.001
Ti1 0.010 0.461 0.744
Ti2 0.511 0.959 0.260
Cr1 0.012 0.459 0.255
Cr2 0.509 0.961 0.752
O1 0.076 0.439 0.009
O2 0.217 0.178 0.711
O3 0.220 0.183 0.297
O4 0.298 0.667 0.718
O5 0.301 0.673 0.293
O6 0.433 0.955 0.008
O7 0.588 0.975 0.499
O8 0.724 0.252 0.785
O9 0.726 0.245 0.216
O10 0.801 0.743 0.210
O11 0.801 0.744 0.798
O12 0.932 0.488 0.498
```